Starting from a cell relaxed with GGA-PBE, the powder XRD pattern of Ag5S4N2 was calculated for copper Kα.
Lines closer than 0.1° are merged.

Atomic structure:
```
data_Ag5S4N2
_chemical_formula_sum 'Ag5 S4 N2'
_symmetry_space_group_name_H-M 'P 1'
_symmetry_Int_Tables_number 1
_cell_length_a 4.9700
_cell_length_b 6.6898
_cell_length_c 7.9546
_cell_angle_alpha 76.37
_cell_angle_beta 87.73
_cell_angle_gamma 89.45
loop_
_symmetry_equiv_pos_as_xyz
'x,y,z'
loop_
_atom_site_label
_atom_site_type_symbol
_atom_site_fract_x
_atom_site_fract_y
_atom_site_fract_z
Ag1 Ag 0.0000 0.0000 0.0000
Ag2 Ag 0.2373 0.6459 0.8698
Ag3 Ag 0.4679 0.2321 0.8049
Ag4 Ag 0.5321 0.7679 0.1951
Ag5 Ag 0.7627 0.3541 0.1302
S1 S 0.2289 0.9025 0.5592
S2 S 0.2680 0.2714 0.0732
S3 S 0.7320 0.7286 0.9268
S4 S 0.7711 0.0975 0.4408
N1 N 0.4127 0.8190 0.4354
N2 N 0.5873 0.1810 0.5646
```

Most intense lines, 10° ≤ 2θ ≤ 90°, by angle:
- 11.46°, rel. 100.0
- 20.89°, rel. 17.3
- 27.10°, rel. 24.9
- 28.73°, rel. 22.9
- 31.52°, rel. 28.3
- 32.93°, rel. 36.1
- 35.22°, rel. 13.7
- 38.79°, rel. 15.8
- 39.18°, rel. 34.3
- 40.05°, rel. 18.2

---

Starting from a cell relaxed with GGA-PBE, the powder XRD pattern of TaAgS2N was calculated for copper Kα.
Lines closer than 0.1° are merged.

Atomic structure:
```
data_TaAgS2N
_chemical_formula_sum 'Ta1 Ag1 S2 N1'
_symmetry_space_group_name_H-M 'P 1'
_symmetry_Int_Tables_number 1
_cell_length_a 4.9033
_cell_length_b 4.9033
_cell_length_c 3.9756
_cell_angle_alpha 90.00
_cell_angle_beta 90.00
_cell_angle_gamma 90.00
loop_
_symmetry_equiv_pos_as_xyz
'x,y,z'
loop_
_atom_site_label
_atom_site_type_symbol
_atom_site_fract_x
_atom_site_fract_y
_atom_site_fract_z
Ta1 Ta 0.0000 0.0000 0.0000
Ag1 Ag 0.5000 0.5000 0.5000
S1 S 0.0000 0.5000 0.0000
S2 S 0.5000 0.0000 0.0000
N1 N 0.0000 0.0000 0.5000
```

Most intense lines, 10° ≤ 2θ ≤ 90°, by angle:
- 18.09°, rel. 12.9
- 25.69°, rel. 49.2
- 28.91°, rel. 100.0
- 36.66°, rel. 47.6
- 45.64°, rel. 12.5
- 47.34°, rel. 52.2
- 52.81°, rel. 16.0
- 53.11°, rel. 13.7
- 59.91°, rel. 21.6
- 73.62°, rel. 14.1

---

Starting from a cell relaxed with GGA-PBE, the powder XRD pattern of ZrAgS2N was calculated for copper Kα.
Lines closer than 0.1° are merged.

Atomic structure:
```
data_ZrAgS2N
_chemical_formula_sum 'Zr1 Ag1 S2 N1'
_symmetry_space_group_name_H-M 'P 1'
_symmetry_Int_Tables_number 1
_cell_length_a 5.0674
_cell_length_b 5.0674
_cell_length_c 4.2222
_cell_angle_alpha 90.00
_cell_angle_beta 90.00
_cell_angle_gamma 90.00
loop_
_symmetry_equiv_pos_as_xyz
'x,y,z'
loop_
_atom_site_label
_atom_site_type_symbol
_atom_site_fract_x
_atom_site_fract_y
_atom_site_fract_z
Zr1 Zr 0.0000 0.0000 0.0000
Ag1 Ag 0.5000 0.5000 0.5000
S1 S 0.0000 0.5000 0.0000
S2 S 0.5000 0.0000 0.0000
N1 N 0.0000 0.0000 0.5000
```

Most intense lines, 10° ≤ 2θ ≤ 90°, by angle:
- 24.85°, rel. 40.5
- 27.50°, rel. 100.0
- 32.78°, rel. 17.2
- 35.43°, rel. 56.3
- 42.84°, rel. 16.0
- 45.42°, rel. 50.4
- 50.97°, rel. 18.5
- 56.76°, rel. 26.3
- 68.72°, rel. 14.4
- 70.64°, rel. 13.1

---

Starting from a cell relaxed with GGA-PBE, the powder XRD pattern of Sc3AgN was calculated for copper Kα.
Lines closer than 0.1° are merged.

Atomic structure:
```
data_Sc3AgN
_chemical_formula_sum 'Sc6 Ag2 N2'
_symmetry_space_group_name_H-M 'P 1'
_symmetry_Int_Tables_number 1
_cell_length_a 6.1968
_cell_length_b 6.1968
_cell_length_c 4.5481
_cell_angle_alpha 90.00
_cell_angle_beta 90.00
_cell_angle_gamma 90.00
loop_
_symmetry_equiv_pos_as_xyz
'x,y,z'
loop_
_atom_site_label
_atom_site_type_symbol
_atom_site_fract_x
_atom_site_fract_y
_atom_site_fract_z
Sc1 Sc 0.0000 0.0000 0.0000
Sc2 Sc 0.2105 0.2895 0.5000
Sc3 Sc 0.2895 0.7895 0.5000
Sc4 Sc 0.5000 0.5000 0.0000
Sc5 Sc 0.7105 0.2105 0.5000
Sc6 Sc 0.7895 0.7105 0.5000
Ag1 Ag 0.0000 0.5000 0.0000
Ag2 Ag 0.5000 0.0000 0.0000
N1 N 0.0000 0.0000 0.5000
N2 N 0.5000 0.5000 0.5000
```

Most intense lines, 10° ≤ 2θ ≤ 90°, by angle:
- 20.27°, rel. 12.8
- 28.28°, rel. 20.9
- 28.81°, rel. 14.7
- 35.04°, rel. 100.0
- 39.63°, rel. 23.8
- 41.20°, rel. 36.0
- 50.73°, rel. 12.2
- 58.50°, rel. 23.3
- 68.96°, rel. 12.4
- 71.13°, rel. 16.1

---

Starting from a cell relaxed with GGA-PBE, the powder XRD pattern of Sc3AgN was calculated for copper Kα.
Lines closer than 0.1° are merged.

Atomic structure:
```
data_Sc3AgN
_chemical_formula_sum 'Sc6 Ag2 N2'
_symmetry_space_group_name_H-M 'P 1'
_symmetry_Int_Tables_number 1
_cell_length_a 6.2522
_cell_length_b 6.2529
_cell_length_c 6.2537
_cell_angle_alpha 119.33
_cell_angle_beta 119.65
_cell_angle_gamma 90.87
loop_
_symmetry_equiv_pos_as_xyz
'x,y,z'
loop_
_atom_site_label
_atom_site_type_symbol
_atom_site_fract_x
_atom_site_fract_y
_atom_site_fract_z
Sc1 Sc 0.1853 0.2521 0.4374
Sc2 Sc 0.2818 0.2831 0.0001
Sc3 Sc 0.2853 0.7853 0.5012
Sc4 Sc 0.7147 0.2147 0.4988
Sc5 Sc 0.7182 0.7169 0.9999
Sc6 Sc 0.8147 0.7479 0.5626
Ag1 Ag 0.2542 0.7498 0.0041
Ag2 Ag 0.7458 0.2502 0.9959
N1 N 0.0000 0.0000 0.5000
N2 N 0.5000 0.5000 0.5000
```

Most intense lines, 10° ≤ 2θ ≤ 90°, by angle:
- 19.93°, rel. 24.2
- 28.55°, rel. 49.6
- 35.01°, rel. 100.0
- 35.12°, rel. 87.0
- 40.49°, rel. 77.5
- 41.15°, rel. 32.3
- 50.38°, rel. 15.9
- 59.10°, rel. 35.5
- 70.05°, rel. 20.7
- 70.26°, rel. 14.7

---

Starting from a cell relaxed with GGA-PBE, the powder XRD pattern of Sc4Ag2N was calculated for copper Kα.
Lines closer than 0.1° are merged.

Atomic structure:
```
data_Sc4Ag2N
_chemical_formula_sum 'Sc4 Ag2 N1'
_symmetry_space_group_name_H-M 'P 1'
_symmetry_Int_Tables_number 1
_cell_length_a 7.6695
_cell_length_b 7.6695
_cell_length_c 7.6695
_cell_angle_alpha 146.61
_cell_angle_beta 146.61
_cell_angle_gamma 47.94
loop_
_symmetry_equiv_pos_as_xyz
'x,y,z'
loop_
_atom_site_label
_atom_site_type_symbol
_atom_site_fract_x
_atom_site_fract_y
_atom_site_fract_z
Sc1 Sc 0.0000 0.5000 0.5000
Sc2 Sc 0.1662 0.1662 0.0000
Sc3 Sc 0.5000 0.0000 0.5000
Sc4 Sc 0.8338 0.8338 0.0000
Ag1 Ag 0.3630 0.3630 0.0000
Ag2 Ag 0.6370 0.6370 0.0000
N1 N 0.0000 0.0000 0.0000
```

Most intense lines, 10° ≤ 2θ ≤ 90°, by angle:
- 21.14°, rel. 30.7
- 27.83°, rel. 28.5
- 28.65°, rel. 57.8
- 31.42°, rel. 37.7
- 38.05°, rel. 19.8
- 38.67°, rel. 100.0
- 40.97°, rel. 64.4
- 57.50°, rel. 20.9
- 59.32°, rel. 19.8
- 73.06°, rel. 37.3

---

Starting from a cell relaxed with GGA-PBE, the powder XRD pattern of Th2AgSe2N2 was calculated for copper Kα.
Lines closer than 0.1° are merged.

Atomic structure:
```
data_Th2AgSe2N2
_chemical_formula_sum 'Th2 Ag1 Se2 N2'
_symmetry_space_group_name_H-M 'P 1'
_symmetry_Int_Tables_number 1
_cell_length_a 4.0620
_cell_length_b 4.0620
_cell_length_c 11.9022
_cell_angle_alpha 90.00
_cell_angle_beta 90.00
_cell_angle_gamma 120.00
loop_
_symmetry_equiv_pos_as_xyz
'x,y,z'
loop_
_atom_site_label
_atom_site_type_symbol
_atom_site_fract_x
_atom_site_fract_y
_atom_site_fract_z
Th1 Th 0.3333 0.6667 0.1252
Th2 Th 0.6667 0.3333 0.8748
Ag1 Ag 0.0000 0.0000 0.5000
Se1 Se 0.0000 0.0000 0.2932
Se2 Se 0.0000 0.0000 0.7068
N1 N 0.3333 0.6667 0.9250
N2 N 0.6667 0.3333 0.0750
```

Most intense lines, 10° ≤ 2θ ≤ 90°, by angle:
- 22.41°, rel. 13.3
- 26.42°, rel. 100.0
- 29.50°, rel. 58.1
- 34.06°, rel. 25.9
- 37.79°, rel. 13.5
- 39.67°, rel. 33.7
- 44.61°, rel. 38.8
- 52.60°, rel. 15.2
- 52.99°, rel. 14.8
- 59.86°, rel. 20.8

---

Starting from a cell relaxed with GGA-PBE, the powder XRD pattern of Sm4AgN was calculated for copper Kα.
Lines closer than 0.1° are merged.

Atomic structure:
```
data_Sm4AgN
_chemical_formula_sum 'Sm4 Ag1 N1'
_symmetry_space_group_name_H-M 'P 1'
_symmetry_Int_Tables_number 1
_cell_length_a 6.6935
_cell_length_b 6.6935
_cell_length_c 3.7412
_cell_angle_alpha 90.00
_cell_angle_beta 90.00
_cell_angle_gamma 92.87
loop_
_symmetry_equiv_pos_as_xyz
'x,y,z'
loop_
_atom_site_label
_atom_site_type_symbol
_atom_site_fract_x
_atom_site_fract_y
_atom_site_fract_z
Sm1 Sm 0.1792 0.1792 0.5000
Sm2 Sm 0.2504 0.7496 0.0000
Sm3 Sm 0.7496 0.2504 0.0000
Sm4 Sm 0.8208 0.8208 0.5000
Ag1 Ag 0.5000 0.5000 0.5000
N1 N 0.0000 0.0000 0.0000
```

Most intense lines, 10° ≤ 2θ ≤ 90°, by angle:
- 19.24°, rel. 17.9
- 26.67°, rel. 36.4
- 30.17°, rel. 100.0
- 30.49°, rel. 30.5
- 30.77°, rel. 29.5
- 37.07°, rel. 31.1
- 39.04°, rel. 42.2
- 47.49°, rel. 20.3
- 48.92°, rel. 16.3
- 68.79°, rel. 17.1

---

Starting from a cell relaxed with GGA-PBE, the powder XRD pattern of SmY2AgN was calculated for copper Kα.
Lines closer than 0.1° are merged.

Atomic structure:
```
data_SmY2AgN
_chemical_formula_sum 'Sm1 Y2 Ag1 N1'
_symmetry_space_group_name_H-M 'P 1'
_symmetry_Int_Tables_number 1
_cell_length_a 4.7787
_cell_length_b 4.7787
_cell_length_c 4.9907
_cell_angle_alpha 90.00
_cell_angle_beta 90.00
_cell_angle_gamma 90.00
loop_
_symmetry_equiv_pos_as_xyz
'x,y,z'
loop_
_atom_site_label
_atom_site_type_symbol
_atom_site_fract_x
_atom_site_fract_y
_atom_site_fract_z
Sm1 Sm 0.0000 0.0000 0.0000
Y1 Y 0.0000 0.5000 0.5000
Y2 Y 0.5000 0.0000 0.5000
Ag1 Ag 0.5000 0.5000 0.0000
N1 N 0.0000 0.0000 0.5000
```

Most intense lines, 10° ≤ 2θ ≤ 90°, by angle:
- 31.99°, rel. 100.0
- 35.99°, rel. 20.5
- 37.65°, rel. 36.1
- 53.07°, rel. 26.0
- 54.30°, rel. 12.1
- 62.20°, rel. 14.4
- 64.42°, rel. 25.9
- 66.88°, rel. 12.6
- 87.13°, rel. 11.4
- 88.38°, rel. 6.0

---

Starting from a cell relaxed with GGA-PBE, the powder XRD pattern of AgSn2N2 was calculated for copper Kα.
Lines closer than 0.1° are merged.

Atomic structure:
```
data_AgSn2N2
_chemical_formula_sum 'Ag1 Sn2 N2'
_symmetry_space_group_name_H-M 'P 1'
_symmetry_Int_Tables_number 1
_cell_length_a 3.2013
_cell_length_b 3.2688
_cell_length_c 14.3671
_cell_angle_alpha 89.43
_cell_angle_beta 86.92
_cell_angle_gamma 60.83
loop_
_symmetry_equiv_pos_as_xyz
'x,y,z'
loop_
_atom_site_label
_atom_site_type_symbol
_atom_site_fract_x
_atom_site_fract_y
_atom_site_fract_z
Ag1 Ag 0.0000 0.0000 0.0000
Sn1 Sn 0.2843 0.3724 0.1685
Sn2 Sn 0.7157 0.6276 0.8315
N1 N 0.4784 0.0105 0.5388
N2 N 0.5216 0.9895 0.4612
```

Most intense lines, 10° ≤ 2θ ≤ 90°, by angle:
- 18.56°, rel. 70.2
- 32.49°, rel. 48.8
- 33.03°, rel. 84.0
- 33.58°, rel. 100.0
- 34.07°, rel. 78.6
- 35.15°, rel. 64.7
- 36.36°, rel. 59.0
- 37.63°, rel. 67.1
- 40.78°, rel. 53.7
- 56.29°, rel. 51.8

---

Starting from a cell relaxed with GGA-PBE, the powder XRD pattern of ThAgSnN was calculated for copper Kα.
Lines closer than 0.1° are merged.

Atomic structure:
```
data_ThAgSnN
_chemical_formula_sum 'Th1 Ag1 Sn1 N1'
_symmetry_space_group_name_H-M 'P 1'
_symmetry_Int_Tables_number 1
_cell_length_a 7.7616
_cell_length_b 7.7616
_cell_length_c 7.7616
_cell_angle_alpha 154.89
_cell_angle_beta 154.89
_cell_angle_gamma 35.81
loop_
_symmetry_equiv_pos_as_xyz
'x,y,z'
loop_
_atom_site_label
_atom_site_type_symbol
_atom_site_fract_x
_atom_site_fract_y
_atom_site_fract_z
Th1 Th 0.0000 0.0000 0.0000
Ag1 Ag 0.6898 0.6898 0.0000
Sn1 Sn 0.3092 0.3092 0.0000
N1 N 0.5361 0.5361 0.0000
```

Most intense lines, 10° ≤ 2θ ≤ 90°, by angle:
- 24.10°, rel. 17.8
- 27.10°, rel. 12.7
- 32.16°, rel. 100.0
- 36.50°, rel. 13.8
- 37.70°, rel. 40.3
- 45.24°, rel. 13.6
- 51.05°, rel. 17.8
- 53.48°, rel. 18.6
- 54.37°, rel. 14.0
- 64.59°, rel. 27.8

---

Starting from a cell relaxed with GGA-PBE, the powder XRD pattern of Sr4AgN2 was calculated for copper Kα.
Lines closer than 0.1° are merged.

Atomic structure:
```
data_Sr4AgN2
_chemical_formula_sum 'Sr8 Ag2 N4'
_symmetry_space_group_name_H-M 'P 1'
_symmetry_Int_Tables_number 1
_cell_length_a 6.8923
_cell_length_b 6.8923
_cell_length_c 13.8122
_cell_angle_alpha 90.00
_cell_angle_beta 90.00
_cell_angle_gamma 146.46
loop_
_symmetry_equiv_pos_as_xyz
'x,y,z'
loop_
_atom_site_label
_atom_site_type_symbol
_atom_site_fract_x
_atom_site_fract_y
_atom_site_fract_z
Sr1 Sr 0.0000 0.0000 0.0000
Sr2 Sr 0.0000 0.0000 0.5000
Sr3 Sr 0.2591 0.7409 0.5975
Sr4 Sr 0.2591 0.7409 0.9025
Sr5 Sr 0.4214 0.5786 0.2500
Sr6 Sr 0.5786 0.4214 0.7500
Sr7 Sr 0.7409 0.2591 0.0975
Sr8 Sr 0.7409 0.2591 0.4025
Ag1 Ag 0.1164 0.8836 0.2500
Ag2 Ag 0.8836 0.1164 0.7500
N1 N 0.3617 0.6383 0.0656
N2 N 0.3617 0.6383 0.4344
N3 N 0.6383 0.3617 0.5656
N4 N 0.6383 0.3617 0.9344
```

Most intense lines, 10° ≤ 2θ ≤ 90°, by angle:
- 29.19°, rel. 58.2
- 30.01°, rel. 49.9
- 30.46°, rel. 91.4
- 30.99°, rel. 100.0
- 33.02°, rel. 36.8
- 44.95°, rel. 17.9
- 45.66°, rel. 47.0
- 55.08°, rel. 19.0
- 55.58°, rel. 17.6
- 56.07°, rel. 24.9